KRb2Te3: calculated X-ray powder pattern (Cu Kα (weighted mean of Kα1 and Kα2)), based on a GGA-PBE-relaxed structure.
No peak broadening, texture or thermal motion is included.

The 8 most intense peaks (15 to 90 degrees two-theta), by angle:
d [Å]  2theta  I (rel.)
5.171  17.15  64
5.005  17.72  25
3.975  22.37  24
3.898  22.82  26
3.020  29.58  36
2.923  30.58  100
2.534  35.42  19
2.281  39.51  18

```
KRb2Te3
1.0
9.0585 -5.0048 0.0000
9.0585 5.0048 0.0000
0.0000 0.0000 6.2137
K Rb Te
2 4 6
Direct
0.1690 0.8310 0.7500
0.8310 0.1690 0.2500
0.1480 0.4902 0.2500
0.4902 0.1480 0.7500
0.5098 0.8520 0.2500
0.8520 0.5098 0.7500
0.1571 0.1571 0.0000
0.1571 0.1571 0.5000
0.4642 0.5358 0.2500
0.5358 0.4642 0.7500
0.8429 0.8429 0.0000
0.8429 0.8429 0.5000
```

CeY9Tm4: calculated X-ray powder pattern (Cu Kα (weighted mean of Kα1 and Kα2)), based on a GGA-PBE-relaxed structure.
No peak broadening, texture or thermal motion is included.

The 8 most intense peaks (15 to 90 degrees two-theta), by angle:
d [Å]  2theta  I (rel.)
3.925  22.65  20
2.797  32.00  35
2.787  32.12  27
2.757  32.47  100
2.711  33.04  42
1.747  52.37  21
1.607  57.35  28
1.398  66.95  20

```
CeY9Tm4
1.0
9.6805 0.0000 0.0000
-4.8403 8.3836 0.0000
0.0000 0.0000 11.1905
Ce Y Tm
2 18 8
Direct
0.3333 0.6667 0.2500
0.6667 0.3333 0.7500
0.0799 0.5400 0.7500
0.2091 0.4183 0.0309
0.2091 0.4183 0.4691
0.2091 0.7909 0.0309
0.2091 0.7909 0.4691
0.4183 0.2091 0.5309
0.4183 0.2091 0.9691
0.4600 0.5400 0.7500
0.4600 0.9201 0.7500
0.5400 0.0799 0.2500
0.5400 0.4600 0.2500
0.5817 0.7909 0.0309
0.5817 0.7909 0.4691
0.7909 0.2091 0.5309
0.7909 0.2091 0.9691
0.7909 0.5817 0.5309
0.7909 0.5817 0.9691
0.9201 0.4600 0.2500
0.0000 0.0000 0.0000
0.0000 0.0000 0.5000
0.1107 0.2214 0.7500
0.1107 0.8893 0.7500
0.2214 0.1107 0.2500
0.7786 0.8893 0.7500
0.8893 0.1107 0.2500
0.8893 0.7786 0.2500
```

SbN2Cl: calculated X-ray powder pattern (Cu Kα (weighted mean of Kα1 and Kα2)), based on a GGA-PBE-relaxed structure.
No peak broadening, texture or thermal motion is included.

The 8 most intense peaks (15 to 90 degrees two-theta), by angle:
d [Å]  2theta  I (rel.)
3.093  28.86  35
2.748  32.58  100
2.445  36.76  47
2.274  39.64  27
1.806  50.54  32
1.661  55.31  25
1.560  59.25  19
1.463  63.58  22

```
SbN2Cl
1.0
1.6611 0.9590 6.1862
-1.6611 0.9590 6.1862
0.0000 -1.9180 6.1862
Sb N Cl
1 2 1
Direct
0.0000 0.0000 0.0000
0.3901 0.3901 0.3901
0.6099 0.6099 0.6099
0.5000 0.5000 0.5000
```

Sr3Zn8Au3: calculated X-ray powder pattern (Cu Kα (weighted mean of Kα1 and Kα2)), based on a GGA-PBE-relaxed structure.
No peak broadening, texture or thermal motion is included.

The 8 most intense peaks (15 to 90 degrees two-theta), by angle:
d [Å]  2theta  I (rel.)
4.077  21.80  52
3.182  28.04  57
2.763  32.40  37
2.655  33.76  85
2.616  34.28  57
2.439  36.85  60
2.250  40.08  100
2.067  43.80  52

```
Sr3Zn8Au3
1.0
8.2880 -2.2503 0.0000
8.2880 2.2503 0.0000
-5.5995 0.0000 7.8512
Sr Zn Au
3 8 3
Direct
0.0000 0.0000 0.0000
0.2996 0.2996 0.2964
0.7004 0.7004 0.7036
0.1299 0.1299 0.4144
0.1314 0.1314 0.8473
0.3326 0.3326 0.6817
0.4959 0.4959 0.6926
0.5041 0.5041 0.3074
0.6674 0.6674 0.3183
0.8686 0.8686 0.1527
0.8701 0.8701 0.5856
0.0000 0.0000 0.5000
0.3430 0.3430 0.9794
0.6570 0.6570 0.0206
```

Ba6Ca3Cu6Hg3O19: calculated X-ray powder pattern (Cu Kα (weighted mean of Kα1 and Kα2)), based on a GGA-PBE-relaxed structure.
No peak broadening, texture or thermal motion is included.

The 8 most intense peaks (15 to 90 degrees two-theta), by angle:
d [Å]  2theta  I (rel.)
3.318  26.87  100
2.879  31.06  99
2.740  32.68  40
2.726  32.86  39
2.589  34.65  28
1.932  47.02  41
1.667  55.08  32
1.549  59.71  22

```
Ba6Ca3Cu6Hg3O19
1.0
8.2212 -2.7256 0.0000
8.2212 2.7256 0.0000
-5.4837 0.0000 12.9453
Ba Ca Cu Hg O
6 3 6 3 19
Direct
0.0690 0.0690 0.2068
0.2598 0.2598 0.7794
0.4067 0.4067 0.2199
0.5933 0.5933 0.7801
0.7402 0.7402 0.2206
0.9310 0.9310 0.7932
0.1658 0.1658 0.4973
0.5000 0.5000 0.5000
0.8342 0.8342 0.5027
0.0401 0.0401 0.6218
0.2923 0.2923 0.3782
0.3742 0.3742 0.6231
0.6258 0.6258 0.3769
0.7077 0.7077 0.6218
0.9599 0.9599 0.3782
0.1621 0.1621 0.0000
0.5000 0.5000 0.0000
0.8379 0.8379 0.0000
0.0000 0.0000 0.0000
0.0411 0.5376 0.6203
0.1177 0.1177 0.8419
0.1263 0.6263 0.3786
0.2093 0.7057 0.6206
0.2231 0.2231 0.1582
0.2943 0.7907 0.3794
0.3737 0.8737 0.6214
0.4471 0.4471 0.8411
0.4624 0.9589 0.3797
0.5376 0.0411 0.6203
0.5529 0.5529 0.1589
0.6263 0.1263 0.3786
0.7057 0.2093 0.6206
0.7769 0.7769 0.8418
0.7907 0.2943 0.3794
0.8737 0.3737 0.6214
0.8823 0.8823 0.1581
0.9589 0.4624 0.3797
```

KTiNiCl6: calculated X-ray powder pattern (Cu Kα (weighted mean of Kα1 and Kα2)), based on a GGA-PBE-relaxed structure.
No peak broadening, texture or thermal motion is included.

The 8 most intense peaks (15 to 90 degrees two-theta), by angle:
d [Å]  2theta  I (rel.)
4.322  20.55  97
2.893  30.91  82
2.349  38.32  100
1.995  45.47  25
1.876  48.53  24
1.836  49.66  35
1.776  51.46  25
1.528  60.59  18

```
KTiNiCl6
1.0
6.3600 0.0000 0.0000
-3.1800 5.5079 0.0000
0.0000 0.0000 6.9705
K Ti Ni Cl
1 1 1 6
Direct
0.0000 0.0000 0.0000
0.3333 0.6667 0.5000
0.6667 0.3333 0.5000
0.0035 0.3765 0.3031
0.0035 0.6270 0.6969
0.3730 0.3765 0.6969
0.3730 0.9965 0.3031
0.6235 0.6270 0.3031
0.6235 0.9965 0.6969
```

KPtCl: calculated X-ray powder pattern (Cu Kα (weighted mean of Kα1 and Kα2)), based on a GGA-PBE-relaxed structure.
No peak broadening, texture or thermal motion is included.

The 8 most intense peaks (15 to 90 degrees two-theta), by angle:
d [Å]  2theta  I (rel.)
4.726  18.77  100
4.201  21.15  26
3.151  28.32  44
2.910  30.73  30
2.782  32.17  27
2.426  37.05  49
2.368  37.99  48
2.332  38.60  42

```
KPtCl
1.0
3.8519 0.0000 0.0000
1.9235 4.6904 0.0000
0.4752 -0.0239 9.4529
K Pt Cl
2 2 2
Direct
0.0000 0.0000 0.0000
0.1865 0.5180 0.4110
0.3668 0.3307 0.7420
0.6865 0.6908 0.7388
0.0355 0.0111 0.6628
0.5063 0.9240 0.2515
```

Y2Ho6Sc3: calculated X-ray powder pattern (Cu Kα (weighted mean of Kα1 and Kα2)), based on a GGA-PBE-relaxed structure.
No peak broadening, texture or thermal motion is included.

The 8 most intense peaks (15 to 90 degrees two-theta), by angle:
d [Å]  2theta  I (rel.)
2.890  30.94  23
2.874  31.12  45
2.826  31.66  22
2.789  32.09  56
2.766  32.37  100
2.662  33.67  91
2.090  43.28  16
1.844  49.44  16

```
Y2Ho6Sc3
1.0
6.2345 0.0000 0.0000
0.1012 6.7672 0.0000
2.3423 1.9281 7.7352
Y Ho Sc
2 6 3
Direct
0.0999 0.2537 0.4770
0.9001 0.7463 0.5230
0.2214 0.0553 0.0961
0.3301 0.8343 0.7169
0.4750 0.6739 0.3250
0.5250 0.3261 0.6750
0.6699 0.1657 0.2831
0.7786 0.9447 0.9039
0.0097 0.5922 0.1468
0.5000 0.5000 0.0000
0.9903 0.4078 0.8532
```

Hf5N2: calculated X-ray powder pattern (Cu Kα (weighted mean of Kα1 and Kα2)), based on a GGA-PBE-relaxed structure.
No peak broadening, texture or thermal motion is included.

The 8 most intense peaks (15 to 90 degrees two-theta), by angle:
d [Å]  2theta  I (rel.)
2.804  31.91  17
2.592  34.60  34
2.467  36.42  100
2.432  36.96  41
1.904  47.78  14
1.599  57.63  18
1.471  63.20  19
1.361  68.99  18

```
Hf5N2
1.0
7.1271 -2.7538 0.0000
7.1271 2.7538 0.0000
-1.5368 0.0000 5.9257
Hf N
10 4
Direct
0.0869 0.9131 0.7500
0.1285 0.2774 0.6394
0.2774 0.1285 0.1394
0.3248 0.4710 0.0357
0.4710 0.3248 0.5357
0.5290 0.6752 0.4643
0.6752 0.5290 0.9643
0.7226 0.8715 0.8606
0.8715 0.7226 0.3606
0.9131 0.0869 0.2500
0.0966 0.6021 0.6981
0.3979 0.9034 0.8019
0.6021 0.0966 0.1981
0.9034 0.3979 0.3019
```

SmUBiO6: calculated X-ray powder pattern (Cu Kα (weighted mean of Kα1 and Kα2)), based on a GGA-PBE-relaxed structure.
No peak broadening, texture or thermal motion is included.

The 8 most intense peaks (15 to 90 degrees two-theta), by angle:
d [Å]  2theta  I (rel.)
3.478  25.61  100
2.967  30.12  61
2.257  39.94  31
1.848  49.31  44
1.797  50.82  32
1.713  53.48  19
1.365  68.79  13
1.256  75.70  12

```
SmUBiO6
1.0
5.9348 0.0000 0.0000
-2.9674 5.1397 0.0000
0.0000 0.0000 9.4480
Sm U Bi O
2 2 2 12
Direct
0.3333 0.6667 0.2500
0.6667 0.3333 0.7500
0.3333 0.6667 0.7500
0.6667 0.3333 0.2500
0.0000 0.0000 0.0000
0.0000 0.0000 0.5000
0.0310 0.3640 0.6346
0.0310 0.6670 0.8654
0.3330 0.3640 0.8654
0.3330 0.9690 0.6346
0.3640 0.0310 0.1346
0.3640 0.3330 0.3654
0.6360 0.6670 0.6346
0.6360 0.9690 0.8654
0.6670 0.0310 0.3654
0.6670 0.6360 0.1346
0.9690 0.3330 0.1346
0.9690 0.6360 0.3654
```

Ac2PmSmDy: calculated X-ray powder pattern (Cu Kα (weighted mean of Kα1 and Kα2)), based on a GGA-PBE-relaxed structure.
No peak broadening, texture or thermal motion is included.

The 8 most intense peaks (15 to 90 degrees two-theta), by angle:
d [Å]  2theta  I (rel.)
3.246  27.48  100
3.199  27.89  28
3.177  28.09  28
3.018  29.60  29
2.845  31.44  26
2.756  32.48  24
2.533  35.43  29
1.856  49.09  21

```
Ac2PmSmDy
1.0
6.3975 0.0000 0.0000
0.0000 9.0597 0.0000
0.0000 0.0000 6.7839
Ac Pm Sm Dy
4 2 2 2
Direct
0.2500 0.2003 0.2029
0.2500 0.7997 0.2029
0.7500 0.2003 0.7971
0.7500 0.7997 0.7971
0.2500 0.5000 0.9212
0.7500 0.5000 0.0788
0.0000 0.5000 0.5000
0.5000 0.5000 0.5000
0.2500 0.0000 0.6687
0.7500 0.0000 0.3313
```

Pm4DyS7: calculated X-ray powder pattern (Cu Kα (weighted mean of Kα1 and Kα2)), based on a GGA-PBE-relaxed structure.
No peak broadening, texture or thermal motion is included.

The 8 most intense peaks (15 to 90 degrees two-theta), by angle:
d [Å]  2theta  I (rel.)
3.792  23.46  100
3.719  23.93  89
3.473  25.65  39
3.296  27.05  44
2.911  30.71  42
2.771  32.31  67
2.679  33.45  43
1.964  46.21  41

```
Pm4DyS7
1.0
6.5937 -1.9535 0.0000
6.5937 1.9535 0.0000
-3.0628 0.0000 11.4208
Pm Dy S
4 1 7
Direct
0.0000 0.0000 0.0000
0.1893 0.1893 0.7676
0.5873 0.5873 0.3850
0.8878 0.8878 0.5746
0.7764 0.7764 0.1546
0.1538 0.1538 0.2238
0.2275 0.2275 0.5248
0.3851 0.3851 0.0795
0.5481 0.5481 0.6274
0.6307 0.6307 0.9322
0.8470 0.8470 0.7917
0.9282 0.9282 0.3568
```

- What is the formula in the tenth record?
  SmUBiO6